This entry pairs a crystal structure of MgZn2Mo4O12 with its calculated powder diffraction line list. Radiation: copper Kα. Structure: DFT lattice parameters and positions (GGA+U).

Crystal structure
abc: 5.309 5.371 7.798
angles: 90.56 90.74 90.05
Space group P1 (No. 1)
Asymmetric unit:
Mg1 0.000 0.000 0.000 [1 per cell]
Zn1 0.475 0.490 0.998 [1 per cell]
Zn2 0.986 0.939 0.491 [1 per cell]
Mo1 0.496 0.960 0.735 [1 per cell]
Mo2 0.497 0.961 0.244 [1 per cell]
Mo3 0.990 0.465 0.739 [1 per cell]
Mo4 0.997 0.464 0.251 [1 per cell]
O1 0.109 0.378 0.990 [1 per cell]
O2 0.154 0.123 0.298 [1 per cell]
O3 0.157 0.141 0.676 [1 per cell]
O4 0.305 0.629 0.273 [1 per cell]
O5 0.317 0.668 0.698 [1 per cell]
O6 0.374 0.896 0.992 [1 per cell]
O7 0.614 0.004 0.493 [1 per cell]
O8 0.651 0.276 0.812 [1 per cell]
O9 0.686 0.290 0.176 [1 per cell]
O10 0.815 0.782 0.173 [1 per cell]
O11 0.822 0.787 0.811 [1 per cell]
O12 0.915 0.558 0.489 [1 per cell]

Most intense lines, 2θ = 10–80°, by angle:
d 3.899, I 34, hkl 0 0 2
d 3.775, I 59, hkl 1 -1 0
d 2.734, I 49, hkl 1 1 -2
d 2.713, I 100, hkl 1 -1 2
d 2.687, I 94, hkl 0 2 0
d 2.654, I 46, hkl 2 0 0
d 1.949, I 29, hkl 0 0 4
d 1.888, I 47, hkl 2 2 0
d 1.552, I 23, hkl 3 1 -2
d 1.548, I 24, hkl -3 1 2